Entry 1:
La2Nd5Sm5: calculated XRD peak list (Cu Kα X-rays), based on the PBE geometry in Alexandria.

Structure:
abc: 8.2268 8.2268 11.6193
angles: 115.17 115.17 36.77
Positions (direct):
La: 0.1655 0.1655 0.9998
La: 0.8345 0.8345 0.0002
Nd: 0.0000 0.0000 0.5000
Nd: 0.0838 0.0838 0.2528
Nd: 0.2493 0.2493 0.7477
Nd: 0.7507 0.7507 0.2523
Nd: 0.9162 0.9162 0.7472
Sm: 0.3329 0.3329 0.4991
Sm: 0.4180 0.4180 0.2523
Sm: 0.5000 0.5000 0.0000
Sm: 0.5820 0.5820 0.7477
Sm: 0.6671 0.6671 0.5009

Largest 7 diffraction maxima, by angle, 5° ≤ 2θ ≤ 70°:
d_spacing, Position (°2θ), I/Imax
3.000, 29.8, 100
2.600, 34.5, 34
2.595, 34.6, 17
1.837, 49.6, 36
1.568, 58.9, 22
1.565, 59.0, 22
1.500, 61.9, 12

Entry 2:
Al3P2Ru4: calculated XRD peak list (Cu Kα X-rays), based on the PBE geometry in Alexandria.

Structure:
abc: 9.0280 9.0280 2.9924
angles: 90.00 90.00 90.00
Positions (direct):
Al: 0.0000 0.0000 0.0000
Al: 0.0000 0.3382 0.0000
Al: 0.0000 0.6618 0.0000
Al: 0.3382 0.0000 0.0000
Al: 0.5000 0.5000 0.0000
Al: 0.6618 0.0000 0.0000
P: 0.3135 0.3135 0.0000
P: 0.3135 0.6865 0.0000
P: 0.6865 0.3135 0.0000
P: 0.6865 0.6865 0.0000
Ru: 0.1725 0.1725 0.5000
Ru: 0.1725 0.8275 0.5000
Ru: 0.1751 0.5000 0.5000
Ru: 0.5000 0.1751 0.5000
Ru: 0.5000 0.8249 0.5000
Ru: 0.8249 0.5000 0.5000
Ru: 0.8275 0.1725 0.5000
Ru: 0.8275 0.8275 0.5000

Largest 8 diffraction maxima, by angle, 5° ≤ 2θ ≤ 70°:
d_spacing, Position (°2θ), I/Imax
3.009, 29.7, 45
2.992, 29.9, 18
2.128, 42.5, 54
2.122, 42.6, 100
1.734, 52.8, 15
1.505, 61.6, 17
1.496, 62.0, 9
1.345, 69.9, 14

Entry 3:
AcSm2MgTl4: calculated XRD peak list (Cu Kα X-rays), based on the PBE geometry in Alexandria.

Structure:
abc: 10.4476 10.4476 10.4476
angles: 29.27 29.27 29.27
Positions (direct):
Ac: 0.0000 0.0000 0.0000
Sm: 0.2340 0.2340 0.2340
Sm: 0.7660 0.7660 0.7660
Mg: 0.5000 0.5000 0.5000
Tl: 0.1260 0.1260 0.1260
Tl: 0.3883 0.3883 0.3883
Tl: 0.6117 0.6117 0.6117
Tl: 0.8740 0.8740 0.8740

Largest 8 diffraction maxima, by angle, 5° ≤ 2θ ≤ 70°:
d_spacing, Position (°2θ), I/Imax
3.903, 22.8, 9
3.636, 24.5, 24
2.898, 30.9, 97
2.640, 34.0, 100
2.059, 44.0, 10
1.952, 46.5, 32
1.569, 58.8, 32
1.524, 60.8, 19

Entry 4:
NpU2As: calculated XRD peak list (Cu Kα X-rays), based on the PBE geometry in Alexandria.

Structure:
abc: 5.1066 6.0700 10.8520
angles: 90.00 107.99 90.00
Positions (direct):
Np: 0.1580 0.0608 0.1043
Np: 0.1580 0.9392 0.6043
Np: 0.8420 0.0608 0.3957
Np: 0.8420 0.9392 0.8957
U: 0.1498 0.4117 0.6066
U: 0.1498 0.5883 0.1066
U: 0.4201 0.3316 0.3791
U: 0.4201 0.6684 0.8791
U: 0.5799 0.3316 0.1209
U: 0.5799 0.6684 0.6209
U: 0.8502 0.4117 0.8934
U: 0.8502 0.5883 0.3934
As: 0.3199 0.1634 0.8592
As: 0.3199 0.8366 0.3592
As: 0.6801 0.1634 0.6408
As: 0.6801 0.8366 0.1408

Largest 8 diffraction maxima, by angle, 5° ≤ 2θ ≤ 70°:
d_spacing, Position (°2θ), I/Imax
4.253, 20.9, 33
2.579, 34.8, 100
2.517, 35.7, 60
2.470, 36.4, 33
2.407, 37.4, 96
2.245, 40.2, 69
1.975, 46.0, 35
1.495, 62.1, 19

Entry 5:
Pa2Mn17C3: calculated XRD peak list (Cu Kα X-rays), based on the PBE geometry in Alexandria.

Structure:
abc: 6.4185 6.4185 6.4185
angles: 83.45 83.45 83.45
Positions (direct):
Pa: 0.1519 0.1519 0.1519
Pa: 0.8481 0.8481 0.8481
Mn: 0.0000 0.5000 0.5000
Mn: 0.1541 0.1541 0.6431
Mn: 0.1541 0.6431 0.1541
Mn: 0.2262 0.5000 0.7738
Mn: 0.2262 0.7738 0.5000
Mn: 0.3569 0.8459 0.8459
Mn: 0.4031 0.4031 0.4031
Mn: 0.5000 0.0000 0.5000
Mn: 0.5000 0.2262 0.7738
Mn: 0.5000 0.5000 0.0000
Mn: 0.5000 0.7738 0.2262
Mn: 0.5969 0.5969 0.5969
Mn: 0.6431 0.1541 0.1541
Mn: 0.7738 0.2262 0.5000
Mn: 0.7738 0.5000 0.2262
Mn: 0.8459 0.3569 0.8459
Mn: 0.8459 0.8459 0.3569
C: 0.0000 0.0000 0.5000
C: 0.0000 0.5000 0.0000
C: 0.5000 0.0000 0.0000

Largest 8 diffraction maxima, by angle, 5° ≤ 2θ ≤ 70°:
d_spacing, Position (°2θ), I/Imax
2.961, 30.2, 75
2.466, 36.4, 47
2.367, 38.0, 44
2.136, 42.3, 82
2.114, 42.8, 100
2.070, 43.7, 36
2.053, 44.1, 41
1.503, 61.7, 36

Entry 6:
DyAgRh: calculated XRD peak list (Cu Kα X-rays), based on the PBE geometry in Alexandria.

Structure:
abc: 4.9033 4.9033 5.6529
angles: 90.00 90.00 120.00
Positions (direct):
Dy: 0.3333 0.6667 0.2500
Dy: 0.6667 0.3333 0.7500
Ag: 0.0000 0.0000 0.0000
Ag: 0.0000 0.0000 0.5000
Rh: 0.3333 0.6667 0.7500
Rh: 0.6667 0.3333 0.2500

Largest 8 diffraction maxima, by angle, 5° ≤ 2θ ≤ 70°:
d_spacing, Position (°2θ), I/Imax
3.395, 26.2, 7
2.826, 31.7, 8
2.452, 36.7, 100
2.353, 38.3, 75
1.852, 49.2, 15
1.698, 54.0, 27
1.415, 66.0, 17
1.396, 67.1, 27

Entry 7:
CaWAu2: calculated XRD peak list (Cu Kα X-rays), based on the PBE geometry in Alexandria.

Structure:
abc: 2.9105 3.9949 6.7765
angles: 90.00 90.00 90.00
Positions (direct):
Ca: 0.0000 0.0000 0.0000
W: 0.0000 0.0000 0.5000
Au: 0.5000 0.5000 0.2883
Au: 0.5000 0.5000 0.7117

Largest 8 diffraction maxima, by angle, 5° ≤ 2θ ≤ 70°:
d_spacing, Position (°2θ), I/Imax
6.777, 13.1, 80
2.584, 34.7, 100
2.352, 38.3, 89
2.222, 40.6, 22
2.208, 40.9, 64
1.997, 45.4, 28
1.966, 46.2, 22
1.481, 62.7, 36

Entry 8:
YBi12O20: calculated XRD peak list (Cu Kα X-rays), based on the PBE geometry in Alexandria.

Structure:
abc: 8.9405 8.9405 8.9405
angles: 109.47 109.47 109.47
Positions (direct):
Y: 0.0000 0.0000 0.0000
Bi: 0.1434 0.8296 0.3218
Bi: 0.1704 0.3138 0.4922
Bi: 0.1784 0.6862 0.8566
Bi: 0.3138 0.4922 0.1704
Bi: 0.3218 0.1434 0.8296
Bi: 0.4922 0.1704 0.3138
Bi: 0.5078 0.8216 0.6782
Bi: 0.6782 0.5078 0.8216
Bi: 0.6862 0.8566 0.1784
Bi: 0.8216 0.6782 0.5078
Bi: 0.8296 0.3218 0.1434
Bi: 0.8566 0.1784 0.6862
O: 0.0000 0.0000 0.3346
O: 0.0000 0.0000 0.7527
O: 0.0000 0.3346 0.0000
O: 0.0000 0.7527 0.0000
O: 0.1131 0.3555 0.7337
O: 0.2424 0.8869 0.6206
O: 0.2473 0.2473 0.2473
O: 0.2663 0.6218 0.3794
O: 0.3346 0.0000 0.0000
O: 0.3555 0.7337 0.1131
O: 0.3782 0.6445 0.7576
O: 0.3794 0.2663 0.6218
O: 0.6206 0.2424 0.8869
O: 0.6218 0.3794 0.2663
O: 0.6445 0.7576 0.3782
O: 0.6654 0.6654 0.6654
O: 0.7337 0.1131 0.3555
O: 0.7527 0.0000 0.0000
O: 0.7576 0.3782 0.6445
O: 0.8869 0.6206 0.2424

Largest 8 diffraction maxima, by angle, 5° ≤ 2θ ≤ 70°:
d_spacing, Position (°2θ), I/Imax
3.650, 24.4, 22
3.265, 27.3, 100
2.980, 30.0, 22
2.759, 32.4, 65
1.770, 51.6, 45
1.721, 53.2, 20
1.675, 54.8, 27
1.522, 60.9, 22

Entry 9:
KAc2Te4Pb: calculated XRD peak list (Cu Kα X-rays), based on the PBE geometry in Alexandria.

Structure:
abc: 8.2738 8.2738 8.2738
angles: 131.89 131.89 70.41
Positions (direct):
K: 0.0000 0.0000 0.0000
Ac: 0.5000 0.5000 0.0000
Ac: 0.7500 0.2500 0.5000
Te: 0.0002 0.5002 0.5000
Te: 0.2543 0.2543 0.0000
Te: 0.4998 0.9998 0.5000
Te: 0.7457 0.7457 0.0000
Pb: 0.2500 0.7500 0.5000

Largest 8 diffraction maxima, by angle, 5° ≤ 2θ ≤ 70°:
d_spacing, Position (°2θ), I/Imax
6.036, 14.7, 12
3.375, 26.4, 100
2.387, 37.7, 79
1.949, 46.6, 29
1.686, 54.4, 9
1.510, 61.4, 25
1.508, 61.5, 13
1.378, 68.0, 28

Entry 10:
Rb5Tl11Cd2: calculated XRD peak list (Cu Kα X-rays), based on the PBE geometry in Alexandria.

Structure:
abc: 5.6791 11.2215 11.2215
angles: 107.13 90.00 90.00
Positions (direct):
Rb: 0.0000 0.0000 0.0000
Rb: 0.0000 0.5938 0.9746
Rb: 0.0000 0.9746 0.5938
Rb: 0.5000 0.2595 0.8810
Rb: 0.5000 0.8810 0.2595
Tl: 0.0000 0.1512 0.3497
Tl: 0.0000 0.3380 0.6624
Tl: 0.0000 0.3497 0.1512
Tl: 0.0000 0.6545 0.6545
Tl: 0.0000 0.6624 0.3380
Tl: 0.5000 0.2002 0.2002
Tl: 0.5000 0.1999 0.5210
Tl: 0.5000 0.5101 0.7163
Tl: 0.5000 0.5210 0.1999
Tl: 0.5000 0.7163 0.5101
Tl: 0.5000 0.8092 0.8092
Cd: 0.2504 0.4296 0.4296
Cd: 0.7496 0.4296 0.4296

Largest 8 diffraction maxima, by angle, 5° ≤ 2θ ≤ 70°:
d_spacing, Position (°2θ), I/Imax
10.724, 8.2, 100
9.028, 9.8, 25
3.025, 29.5, 70
2.971, 30.1, 46
2.874, 31.1, 32
2.840, 31.5, 34
2.470, 36.4, 25
2.424, 37.1, 24

Entry 11:
Ag2Au2F7: calculated XRD peak list (Cu Kα X-rays), based on the PBE geometry in Alexandria.

Structure:
abc: 5.6990 11.5227 6.0551
angles: 90.00 101.79 90.00
Positions (direct):
Ag: 0.1560 0.1429 0.0408
Ag: 0.1560 0.3571 0.5408
Ag: 0.8440 0.6429 0.4592
Ag: 0.8440 0.8571 0.9592
Au: 0.3279 0.6255 0.1604
Au: 0.3279 0.8745 0.6604
Au: 0.6721 0.1255 0.3396
Au: 0.6721 0.3745 0.8396
F: 0.1008 0.5118 0.2730
F: 0.1008 0.9882 0.7730
F: 0.1167 0.7486 0.7687
F: 0.1167 0.7514 0.2687
F: 0.4209 0.2398 0.4034
F: 0.4209 0.2602 0.9034
F: 0.5000 0.0000 0.5000
F: 0.5000 0.5000 0.0000
F: 0.5791 0.7398 0.0966
F: 0.5791 0.7602 0.5966
F: 0.8833 0.2486 0.7313
F: 0.8833 0.2514 0.2313
F: 0.8992 0.0118 0.2270
F: 0.8992 0.4882 0.7270

Largest 8 diffraction maxima, by angle, 5° ≤ 2θ ≤ 70°:
d_spacing, Position (°2θ), I/Imax
4.131, 21.5, 96
3.572, 24.9, 100
3.525, 25.3, 58
2.876, 31.1, 53
2.711, 33.0, 21
2.666, 33.6, 18
2.369, 38.0, 32
2.034, 44.6, 43

Entry 12:
Pm7RhCl12: calculated XRD peak list (Cu Kα X-rays), based on the PBE geometry in Alexandria.

Structure:
abc: 9.1884 9.1884 9.1884
angles: 106.67 106.67 106.67
Positions (direct):
Pm: 0.0000 0.0000 0.0000
Pm: 0.1835 0.4852 0.3893
Pm: 0.3893 0.1835 0.4852
Pm: 0.4852 0.3893 0.1835
Pm: 0.5148 0.6107 0.8165
Pm: 0.6107 0.8165 0.5148
Pm: 0.8165 0.5148 0.6107
Rh: 0.5000 0.5000 0.5000
Cl: 0.0411 0.1255 0.3250
Cl: 0.1255 0.3250 0.0411
Cl: 0.1803 0.5786 0.7100
Cl: 0.2900 0.8197 0.4214
Cl: 0.3250 0.0411 0.1255
Cl: 0.4214 0.2900 0.8197
Cl: 0.5786 0.7100 0.1803
Cl: 0.6750 0.9589 0.8745
Cl: 0.7100 0.1803 0.5786
Cl: 0.8197 0.4214 0.2900
Cl: 0.8745 0.6750 0.9589
Cl: 0.9589 0.8745 0.6750

Largest 8 diffraction maxima, by angle, 5° ≤ 2θ ≤ 70°:
d_spacing, Position (°2θ), I/Imax
8.058, 11.0, 48
7.370, 12.0, 87
4.376, 20.3, 19
3.535, 25.2, 18
2.926, 30.6, 100
2.550, 35.2, 21
2.094, 43.2, 36
2.044, 44.3, 32

Which formula does entry 10 have?
Rb5Tl11Cd2

What did the ninth record say?
KAc2Te4Pb: calculated XRD peak list (Cu Kα X-rays), based on the PBE geometry in Alexandria.

Structure:
abc: 8.2738 8.2738 8.2738
angles: 131.89 131.89 70.41
Positions (direct):
K: 0.0000 0.0000 0.0000
Ac: 0.5000 0.5000 0.0000
Ac: 0.7500 0.2500 0.5000
Te: 0.0002 0.5002 0.5000
Te: 0.2543 0.2543 0.0000
Te: 0.4998 0.9998 0.5000
Te: 0.7457 0.7457 0.0000
Pb: 0.2500 0.7500 0.5000

Largest 8 diffraction maxima, by angle, 5° ≤ 2θ ≤ 70°:
d_spacing, Position (°2θ), I/Imax
6.036, 14.7, 12
3.375, 26.4, 100
2.387, 37.7, 79
1.949, 46.6, 29
1.686, 54.4, 9
1.510, 61.4, 25
1.508, 61.5, 13
1.378, 68.0, 28